(1)
PaCl5: computed powder diffraction line list (Cu Kα), based on a cell relaxed with PBE.
Kinematic intensities with the Lorentz-polarization factor, no thermal factor.

Structural model:
Lattice parameters (Å, degrees): 8.570 12.180 8.477 90.00 105.08 90.00
Space group C2/c (No. 15)
Asymmetric unit:
Pa 0.000 0.069 0.250 (multiplicity 4)
Cl 0.000 0.275 0.250 (multiplicity 4)
Cl 0.005 0.121 0.936 (multiplicity 8)
Cl 0.199 0.437 0.669 (multiplicity 8)

Largest 12 diffraction maxima, most intense first, 2θ from 15° to 90°:
two_theta	I (rel.)	(hkl)
18.2	100	0 2 1
21.5	84	2 0 0
22.8	80	1 1 -2
31.3	79	0 4 1
33.3	68	3 1 0
21.7	66	0 0 2
43.4	43	1 1 -4
25.6	42	1 3 -1
38.9	42	1 3 -3
38.6	36	1 5 0
44.6	33	0 6 0
32.6	32	1 1 -3


(2)
Ba3Sr: computed powder diffraction line list (Cu Kα), based on a cell relaxed with PBE.
Kinematic intensities with the Lorentz-polarization factor, no thermal factor.

Structural model:
Lattice parameters (Å, degrees): 8.8684 8.8684 7.2140 90.00 90.00 120.00
Space group P6_3/mmc (No. 194)
Asymmetric unit:
Ba 0.1664 0.3327 0.2500 (multiplicity 6)
Sr 0.3333 0.6667 0.7500 (multiplicity 2)

Largest 12 diffraction maxima, most intense first, 2θ from 15° to 90°:
two_theta	I (rel.)	(hkl)
26.3	100	2 0 1
24.7	26	0 0 2
48.2	25	2 2 2
44.5	24	2 0 3
23.2	23	2 0 0
40.7	21	2 2 0
49.1	18	4 0 1
34.1	17	2 0 2
65.6	15	4 2 1
76.7	10	4 2 3
66.9	9	2 2 4
61.8	9	4 0 3


(3)
MgSi2: computed powder diffraction line list (Cu Kα), based on a cell relaxed with PBE.
Kinematic intensities with the Lorentz-polarization factor, no thermal factor.

Structural model:
Lattice parameters (Å, degrees): 10.614 3.803 11.137 90.00 107.23 90.00
Space group C2/m (No. 12)
Asymmetric unit:
Mg 0.000 0.000 0.000 (multiplicity 2)
Mg 0.000 0.000 0.500 (multiplicity 2)
Mg 0.212 0.500 0.206 (multiplicity 4)
Si 0.055 0.000 0.269 (multiplicity 4)
Si 0.085 0.500 0.718 (multiplicity 4)
Si 0.184 0.500 0.953 (multiplicity 4)
Si 0.233 0.500 0.568 (multiplicity 4)

Largest 12 diffraction maxima, most intense first, 2θ from 15° to 90°:
two_theta	I (rel.)	(hkl)
35.5	100	3 1 0
34.6	73	3 1 -1
33.7	70	0 0 4
38.9	65	3 1 -3
47.8	64	0 2 0
43.6	48	3 1 -4
48.7	45	3 1 3
31.7	30	1 1 2
40.2	28	1 1 -4
52.3	28	6 0 -1
40.9	27	2 0 -5
37.6	24	1 1 3


(4)
MnGePd: computed powder diffraction line list (Cu Kα), based on a cell relaxed with PBE.
Kinematic intensities with the Lorentz-polarization factor, no thermal factor.

Structural model:
Lattice parameters (Å, degrees): 6.6771 6.6771 3.5666 90.00 90.00 120.00
Space group P-62m (No. 189)
Asymmetric unit:
Mn 0.0000 0.5967 0.0000 (multiplicity 3)
Ge 0.0000 0.0000 0.0000 (multiplicity 1)
Ge 0.3333 0.6667 0.5000 (multiplicity 2)
Pd 0.0000 0.2649 0.5000 (multiplicity 3)

Largest 12 diffraction maxima, most intense first, 2θ from 15° to 90°:
two_theta	I (rel.)	(hkl)
36.9	100	1 1 1
40.1	77	2 0 1
41.3	47	2 1 0
48.9	46	2 1 1
47.2	45	3 0 0
76.6	33	3 2 1
51.2	26	0 0 2
72.2	24	3 0 2
67.8	20	2 1 2
25.0	20	0 0 1
26.7	14	1 1 0
89.0	13	2 0 3


Q: Which formula does entry 2 have?
A: Ba3Sr